Theoretical X-ray diffraction stick pattern
Compound: Ac8SmDy4
Radiation: a wavelength of 1.5418 Å
Structure: the GGA-PBE geometry in Alexandria

Structure:
```
data_Ac8SmDy4
_cell_length_a 11.7783
_cell_length_b 11.7783
_cell_length_c 14.4009
_cell_angle_alpha 90.00
_cell_angle_beta 90.00
_cell_angle_gamma 120.00
_symmetry_space_group_name_H-M 'R -3 m'
_symmetry_Int_Tables_number 166
_symmetry_space_group_name_Hall '-R 3 2"'
loop_
_atom_site_label
_atom_site_fract_x
_atom_site_fract_y
_atom_site_fract_z
_atom_site_occupancy
Ac1 0.0000 0.0000 0.2413 1
Ac2 0.0112 0.5056 0.7469 1
Sm1 0.0000 0.0000 0.5000 1
Dy1 0.0000 0.0000 0.0000 1
Dy2 0.0000 0.5000 0.0000 1
```

The 6 most intense peaks (2θ from 15° to 90°), by angle:
Position (°2θ)  I/Imax  h k l
21.3  17  2 0 2
30.4  100  2 2 0
43.5  19  4 0 4
54.0  40  6 0 0
71.7  17  6 2 4
87.7  15  8 2 0


Theoretical X-ray diffraction stick pattern
Compound: AcLa4PmTm2
Radiation: a wavelength of 1.5418 Å
Structure: the GGA-PBE geometry in Alexandria

Structure:
```
data_AcLa4PmTm2
_cell_length_a 11.655
_cell_length_b 5.244
_cell_length_c 10.522
_cell_angle_alpha 90.00
_cell_angle_beta 116.96
_cell_angle_gamma 90.00
_symmetry_space_group_name_H-M 'C 1 2/m 1'
_symmetry_Int_Tables_number 12
_symmetry_space_group_name_Hall '-C 2y'
loop_
_atom_site_label
_atom_site_fract_x
_atom_site_fract_y
_atom_site_fract_z
_atom_site_occupancy
Ac1 0.000 0.000 0.000 1
La1 0.247 0.000 0.870 1
La2 0.249 0.500 0.623 1
Pm1 0.000 0.000 0.500 1
Tm1 0.001 0.500 0.745 1
```

The 6 most intense peaks (2θ from 15° to 90°), by angle:
Position (°2θ)  I/Imax  h k l
29.6  100  1 1 2
34.1  17  2 0 -4
34.2  17  0 2 0
34.5  17  4 0 0
49.4  18  4 2 0
58.3  15  3 3 -2


Theoretical X-ray diffraction stick pattern
Compound: Ho2AlPd2
Radiation: a wavelength of 1.5418 Å
Structure: the GGA-PBE geometry in Alexandria

Structure:
```
data_Ho2AlPd2
_cell_length_a 7.451
_cell_length_b 7.451
_cell_length_c 7.594
_cell_angle_alpha 90.00
_cell_angle_beta 90.00
_cell_angle_gamma 90.00
_symmetry_space_group_name_H-M 'P 4/m n c'
_symmetry_Int_Tables_number 128
_symmetry_space_group_name_Hall '-P 4 2n'
loop_
_atom_site_label
_atom_site_fract_x
_atom_site_fract_y
_atom_site_fract_z
_atom_site_occupancy
Ho1 0.174 0.326 0.000 1
Al1 0.000 0.000 0.248 1
Pd1 0.133 0.633 0.250 1
```

The 6 most intense peaks (2θ from 15° to 90°), by angle:
Position (°2θ)  I/Imax  h k l
16.8  20  1 1 0
23.9  15  2 0 0
33.7  14  2 0 2
35.9  100  2 1 2
38.2  23  3 1 0
56.4  16  4 1 2


Theoretical X-ray diffraction stick pattern
Compound: MgZn7Rh4
Radiation: a wavelength of 1.5418 Å
Structure: the GGA-PBE geometry in Alexandria

Structure:
```
data_MgZn7Rh4
_cell_length_a 5.281
_cell_length_b 5.848
_cell_length_c 6.335
_cell_angle_alpha 74.86
_cell_angle_beta 80.76
_cell_angle_gamma 67.54
_symmetry_space_group_name_H-M 'P -1'
_symmetry_Int_Tables_number 2
_symmetry_space_group_name_Hall '-P 1'
loop_
_atom_site_label
_atom_site_fract_x
_atom_site_fract_y
_atom_site_fract_z
_atom_site_occupancy
Mg1 0.000 0.000 0.000 1
Zn1 0.113 0.171 0.366 1
Zn2 0.250 0.493 0.018 1
Zn3 0.316 0.655 0.353 1
Zn4 0.500 0.000 0.000 1
Rh1 0.182 0.341 0.693 1
Rh2 0.388 0.816 0.684 1
```

The 6 most intense peaks (2θ from 15° to 90°), by angle:
Position (°2θ)  I/Imax  h k l
40.0  51  0 2 2
40.2  100  0 2 -1
41.5  41  2 1 2
44.6  34  0 0 3
46.3  34  2 -1 0
50.2  24  2 3 1


Theoretical X-ray diffraction stick pattern
Compound: ThGaPt
Radiation: a wavelength of 1.5418 Å
Structure: the GGA-PBE geometry in Alexandria

Structure:
```
data_ThGaPt
_cell_length_a 4.505
_cell_length_b 22.020
_cell_length_c 7.821
_cell_angle_alpha 90.00
_cell_angle_beta 90.00
_cell_angle_gamma 90.00
_symmetry_space_group_name_H-M 'I m m 2'
_symmetry_Int_Tables_number 44
_symmetry_space_group_name_Hall 'I 2 -2'
loop_
_atom_site_label
_atom_site_fract_x
_atom_site_fract_y
_atom_site_fract_z
_atom_site_occupancy
Th1 0.000 0.000 0.000 1
Th2 0.000 0.164 0.063 1
Th3 0.000 0.331 0.002 1
Th4 0.000 0.500 0.057 1
Ga1 0.000 0.088 0.696 1
Ga2 0.000 0.269 0.363 1
Ga3 0.000 0.436 0.694 1
Pt1 0.000 0.082 0.364 1
Pt2 0.000 0.246 0.696 1
Pt3 0.000 0.399 0.361 1
```

The 6 most intense peaks (2θ from 15° to 90°), by angle:
Position (°2θ)  I/Imax  h k l
28.0  13  1 4 1
33.5  100  1 6 1
40.0  60  2 0 0
53.1  24  2 6 2
65.6  19  2 12 0
68.5  11  2 6 4


Theoretical X-ray diffraction stick pattern
Compound: Pm6GeAs2Se3
Radiation: a wavelength of 1.5418 Å
Structure: the GGA-PBE geometry in Alexandria

Structure:
```
data_Pm6GeAs2Se3
_cell_length_a 18.481
_cell_length_b 4.233
_cell_length_c 8.471
_cell_angle_alpha 90.00
_cell_angle_beta 103.48
_cell_angle_gamma 90.00
_symmetry_space_group_name_H-M 'C 1 2/m 1'
_symmetry_Int_Tables_number 12
_symmetry_space_group_name_Hall '-C 2y'
loop_
_atom_site_label
_atom_site_fract_x
_atom_site_fract_y
_atom_site_fract_z
_atom_site_occupancy
Pm1 0.002 0.000 0.243 1
Pm2 0.163 0.500 0.087 1
Pm3 0.169 0.500 0.577 1
Ge1 0.000 0.500 0.000 1
As1 0.167 0.000 0.334 1
Se1 0.000 0.500 0.500 1
Se2 0.168 0.000 0.833 1
```

The 6 most intense peaks (2θ from 15° to 90°), by angle:
Position (°2θ)  I/Imax  h k l
25.8  18  3 1 0
29.8  100  6 0 0
42.7  50  0 2 0
42.8  25  5 1 2
53.0  20  6 2 0
70.3  17  1 3 -2


Theoretical X-ray diffraction stick pattern
Compound: DyY4Tm
Radiation: a wavelength of 1.5418 Å
Structure: the GGA-PBE geometry in Alexandria

Structure:
```
data_DyY4Tm
_cell_length_a 11.253
_cell_length_b 5.010
_cell_length_c 7.111
_cell_angle_alpha 90.00
_cell_angle_beta 108.50
_cell_angle_gamma 90.00
_symmetry_space_group_name_H-M 'C 1 2/m 1'
_symmetry_Int_Tables_number 12
_symmetry_space_group_name_Hall '-C 2y'
loop_
_atom_site_label
_atom_site_fract_x
_atom_site_fract_y
_atom_site_fract_z
_atom_site_occupancy
Dy1 0.000 0.000 0.000 1
Y1 0.166 0.500 0.333 1
Y2 0.166 0.500 0.833 1
Tm1 0.000 0.000 0.500 1
```

The 6 most intense peaks (2θ from 15° to 90°), by angle:
Position (°2θ)  I/Imax  h k l
30.8  100  3 1 0
35.7  34  2 0 2
35.8  17  0 2 0
51.4  23  6 0 0
61.1  28  5 1 2
61.3  14  3 3 0


Theoretical X-ray diffraction stick pattern
Compound: Mn5Rh4
Radiation: a wavelength of 1.5418 Å
Structure: the GGA-PBE geometry in Alexandria

Structure:
```
data_Mn5Rh4
_cell_length_a 8.117
_cell_length_b 8.117
_cell_length_c 3.721
_cell_angle_alpha 90.00
_cell_angle_beta 90.00
_cell_angle_gamma 90.00
_symmetry_space_group_name_H-M 'I 4/m m m'
_symmetry_Int_Tables_number 139
_symmetry_space_group_name_Hall '-I 4 2'
loop_
_atom_site_label
_atom_site_fract_x
_atom_site_fract_y
_atom_site_fract_z
_atom_site_occupancy
Mn1 0.000 0.000 0.000 1
Mn2 0.164 0.164 0.500 1
Rh1 0.000 0.325 0.000 1
```

The 6 most intense peaks (2θ from 15° to 90°), by angle:
Position (°2θ)  I/Imax  h k l
41.3  100  3 0 1
47.5  32  3 3 0
49.0  15  0 0 2
70.6  19  3 3 2
84.1  22  6 3 1
86.3  11  3 0 3


Theoretical X-ray diffraction stick pattern
Compound: Pm3Zn6Au5
Radiation: a wavelength of 1.5418 Å
Structure: the GGA-PBE geometry in Alexandria

Structure:
```
data_Pm3Zn6Au5
_cell_length_a 4.441
_cell_length_b 9.554
_cell_length_c 13.096
_cell_angle_alpha 90.00
_cell_angle_beta 90.00
_cell_angle_gamma 90.00
_symmetry_space_group_name_H-M 'I m m m'
_symmetry_Int_Tables_number 71
_symmetry_space_group_name_Hall '-I 2 2'
loop_
_atom_site_label
_atom_site_fract_x
_atom_site_fract_y
_atom_site_fract_z
_atom_site_occupancy
Pm1 0.000 0.000 0.000 1
Pm2 0.000 0.000 0.291 1
Zn1 0.000 0.173 0.500 1
Zn2 0.000 0.291 0.137 1
Au1 0.000 0.353 0.345 1
Au2 0.000 0.500 0.000 1
```

The 6 most intense peaks (2θ from 15° to 90°), by angle:
Position (°2θ)  I/Imax  h k l
28.7  100  1 0 3
33.2  52  0 2 4
34.4  57  1 2 3
34.7  76  1 3 0
37.4  64  1 3 2
40.6  78  2 0 0


Theoretical X-ray diffraction stick pattern
Compound: CdAg2H
Radiation: a wavelength of 1.5418 Å
Structure: the GGA-PBE geometry in Alexandria

Structure:
```
data_CdAg2H
_cell_length_a 5.958
_cell_length_b 5.958
_cell_length_c 7.432
_cell_angle_alpha 90.00
_cell_angle_beta 90.00
_cell_angle_gamma 90.00
_symmetry_space_group_name_H-M 'I -4 2 d'
_symmetry_Int_Tables_number 122
_symmetry_space_group_name_Hall 'I -4 2bw'
loop_
_atom_site_label
_atom_site_fract_x
_atom_site_fract_y
_atom_site_fract_z
_atom_site_occupancy
Cd1 0.000 0.000 0.000 1
Ag1 0.112 0.250 0.625 1
H1 0.000 0.000 0.500 1
```

The 6 most intense peaks (2θ from 15° to 90°), by angle:
Position (°2θ)  I/Imax  h k l
32.1  59  1 1 2
35.8  100  2 1 1
38.7  17  2 0 2
39.4  26  1 0 3
48.3  15  3 1 0
58.6  12  2 0 4


Theoretical X-ray diffraction stick pattern
Compound: MgAl2H4Pb2O4F6
Radiation: a wavelength of 1.5418 Å
Structure: the GGA-PBE geometry in Alexandria

Structure:
```
data_MgAl2H4Pb2O4F6
_cell_length_a 5.686
_cell_length_b 5.826
_cell_length_c 7.743
_cell_angle_alpha 74.07
_cell_angle_beta 84.08
_cell_angle_gamma 78.77
_symmetry_space_group_name_H-M 'P -1'
_symmetry_Int_Tables_number 2
_symmetry_space_group_name_Hall '-P 1'
loop_
_atom_site_label
_atom_site_fract_x
_atom_site_fract_y
_atom_site_fract_z
_atom_site_occupancy
Mg1 0.000 0.000 0.000 1
Al1 0.156 0.325 0.133 1
H1 0.071 0.728 0.593 1
H2 0.300 0.656 0.906 1
Pb1 0.355 0.273 0.558 1
O1 0.013 0.404 0.343 1
O2 0.149 0.644 0.982 1
F1 0.115 0.003 0.237 1
F2 0.273 0.193 0.937 1
F3 0.450 0.296 0.209 1
```

The 6 most intense peaks (2θ from 15° to 90°), by angle:
Position (°2θ)  I/Imax  h k l
19.4  97  1 0 1
20.6  95  1 1 0
24.6  100  1 -1 0
25.2  60  0 1 2
33.4  86  2 1 1
35.6  60  1 1 -2


Theoretical X-ray diffraction stick pattern
Compound: Tm3N
Radiation: a wavelength of 1.5418 Å
Structure: the GGA-PBE geometry in Alexandria

Structure:
```
data_Tm3N
_cell_length_a 3.493
_cell_length_b 3.493
_cell_length_c 8.793
_cell_angle_alpha 90.00
_cell_angle_beta 90.00
_cell_angle_gamma 90.00
_symmetry_space_group_name_H-M 'P -4 m 2'
_symmetry_Int_Tables_number 115
_symmetry_space_group_name_Hall 'P -4 -2'
loop_
_atom_site_label
_atom_site_fract_x
_atom_site_fract_y
_atom_site_fract_z
_atom_site_occupancy
Tm1 0.000 0.000 0.000 1
Tm2 0.000 0.500 0.649 1
N1 0.500 0.500 0.500 1
```

The 6 most intense peaks (2θ from 15° to 90°), by angle:
Position (°2θ)  I/Imax  h k l
27.5  100  1 0 1
30.5  40  0 0 3
32.7  75  1 0 2
37.8  50  1 1 1
42.0  24  1 1 2
56.0  27  1 1 4


Question: Number 4 is which compound?
Answer: MgZn7Rh4